Theoretical PXRD pattern
Compound: Hf3Ni7P4
Radiation: Cu Kα X-rays
Structure: a crystal structure in Alexandria, relaxed with GGA-PBE
No peak broadening, texture or thermal motion is included.

The 10 most intense peaks (5° ≤ 2θ ≤ 70°), by angle:
d [Å], I/Imax, h k l
3.375, 49, 1 1 -1
2.640, 49, 3 1 0
2.333, 31, 0 0 3
2.278, 100, 1 1 2
2.257, 50, 3 1 -3
2.241, 28, 6 0 -3
2.220, 83, 5 1 -2
2.146, 33, 4 0 -4
1.900, 34, 6 0 0
1.835, 44, 0 2 0

Crystal structure
Cell: 13.991 3.671 8.591 Å, 90.00 125.44 90.00°
Space group C2/m (No. 12)
Inequivalent atoms, fractional coordinates:
Hf 0.000 0.000 0.000 (multiplicity 2)
Hf 0.180 0.500 0.677 (multiplicity 4)
Ni 0.000 0.000 0.500 (multiplicity 2)
Ni 0.011 0.500 0.291 (multiplicity 4)
Ni 0.167 0.000 0.427 (multiplicity 4)
Ni 0.188 0.500 0.022 (multiplicity 4)
P 0.109 0.000 0.825 (multiplicity 4)
P 0.160 0.500 0.258 (multiplicity 4)